This entry pairs a crystal structure of KCd2F with its simulated X-ray diffraction stick pattern. Radiation: λ = 1.5418 Å (Cu Kα). Structure: the PBE geometry in Alexandria.
Peak positions follow from Bragg's law for the DFT cell and can differ from measured ones.

Principal peaks in the range 5° ≤ 2θ ≤ 70°, low angle first:
2θ = 19.5°, d = 4.554 Å, I = 82; 2θ = 27.6°, d = 3.236 Å, I = 84; 2θ = 27.7°, d = 3.220 Å, I = 100; 2θ = 34.0°, d = 2.638 Å, I = 35; 2θ = 36.5°, d = 2.462 Å, I = 94; 2θ = 39.5°, d = 2.283 Å, I = 47; 2θ = 39.6°, d = 2.277 Å, I = 22; 2θ = 44.4°, d = 2.040 Å, I = 31; 2θ = 46.4°, d = 1.956 Å, I = 48; 2θ = 53.1°, d = 1.724 Å, I = 40

Crystal structure
Lattice parameters (Å, degrees): 6.969 6.969 6.969 98.40 98.40 135.05
Fractional positions:
K 0.000 0.000 0.000
K 0.750 0.250 0.500
Cd 0.189 0.625 0.064
Cd 0.375 0.439 0.564
Cd 0.561 0.125 0.936
Cd 0.875 0.811 0.436
F 0.250 0.750 0.500
F 0.500 0.500 0.000